[1]
The following is a theoretical X-ray powder pattern of Eu2SiS4. It was derived from the PBE geometry in the Materials Project, using Cu Kα, 1.54184 Å.
Kinematic intensities with the Lorentz-polarization factor, no thermal factor.

Principal peaks in the range 2θ = 10–90°, low angle first:
index, 2θ/deg, d (Å), I_rel
1 1 0, 19.6, 4.533, 100
0 0 2, 23.0, 3.862, 27
1 1 -2, 26.7, 3.335, 51
0 2 0, 27.0, 3.304, 50
2 0 -2, 30.8, 2.904, 56
2 1 -2, 33.7, 2.659, 80
0 2 2, 35.8, 2.511, 66
2 2 0, 39.8, 2.266, 40
1 0 -4, 44.6, 2.031, 23
3 2 -4, 61.3, 1.512, 30

Atomic structure:
Cell: 6.5531 6.6082 8.1248 Å, 90.00 108.09 90.00°
Space group P2_1/m (No. 11)
Asymmetric unit:
1 Eu 0.2171 0.2500 0.0491 x2
2 Eu 0.2720 0.2500 0.5702 x2
3 Si 0.2226 0.7500 0.7977 x2
4 S 0.0068 0.0002 0.7377 x4
5 S 0.3917 0.7500 0.0676 x2
6 S 0.4202 0.7500 0.6326 x2



[2]
The following is a theoretical X-ray powder pattern of Sm3Eu3S8. It was derived from the PBE geometry in the Materials Project, using Cu Kα, 1.54184 Å.
Kinematic intensities with the Lorentz-polarization factor, no thermal factor.

Principal peaks in the range 2θ = 10–90°, low angle first:
index, 2θ/deg, d (Å), I_rel
1 1 1, 25.4, 3.507, 89
3 1 -1, 25.5, 3.493, 44
2 0 -3, 33.0, 2.714, 100
4 0 -1, 33.1, 2.706, 20
1 1 2, 39.2, 2.297, 37
3 3 -2, 39.3, 2.290, 24
4 2 -4, 47.4, 1.918, 34
1 3 -3, 49.7, 1.833, 17
2 4 1, 54.5, 1.684, 17
5 1 -6, 67.2, 1.393, 17

Atomic structure:
Cell: 12.0820 8.5840 8.5725 Å, 90.00 134.76 90.00°
Space group C2 (No. 5)
Asymmetric unit:
1 Sm 0.0000 0.0000 0.0000 x2
2 Sm 0.1245 0.3773 0.8753 x4
3 Eu 0.0000 0.7528 0.5000 x2
4 Eu 0.2494 0.6256 0.3750 x4
5 S 0.0770 0.0567 0.7623 x4
6 S 0.0778 0.7033 0.9006 x4
7 S 0.1691 0.3012 0.2391 x4
8 S 0.1773 0.4472 0.6087 x4



[3]
The following is a theoretical X-ray powder pattern of Sm2EuS4. It was derived from the PBE geometry in the Materials Project, using Cu Kα, 1.54184 Å.
Kinematic intensities with the Lorentz-polarization factor, no thermal factor.

Principal peaks in the range 2θ = 10–90°, low angle first:
index, 2θ/deg, d (Å), I_rel
2 1 1, 25.5, 3.497, 100
3 0 1, 33.1, 2.709, 91
3 2 1, 39.4, 2.290, 55
2 0 4, 47.5, 1.916, 39
3 2 3, 49.9, 1.826, 25
3 1 4, 54.6, 1.680, 31
1 1 6, 67.4, 1.390, 36
4 1 5, 71.4, 1.322, 14
6 4 0, 80.9, 1.188, 8
2 1 7, 82.8, 1.166, 26

Atomic structure:
Cell: 8.5648 8.5648 8.5707 Å, 90.00 90.00 90.00°
Space group I-42d (No. 122)
Asymmetric unit:
1 Sm 0.1268 0.2500 0.1250 x8
2 Eu 0.0000 0.0000 0.5000 x4
3 S 0.0748 0.1741 0.8068 x16